1.
KV6O14: calculated XRD peak list (Cu Ka), based on a PBE+U-relaxed structure.

The 10 most intense peaks (2θ from 15° to 90°), in order of rising 2θ:
| (hkl) | d_spacing | Rel. int. |
| --- | --- | --- |
| 0 2 -1 | 4.228 | 54 |
| 0 2 1 | 3.555 | 74 |
| 2 0 -1 | 3.404 | 100 |
| 2 0 1 | 3.293 | 89 |
| 0 2 -3 | 3.028 | 60 |
| 2 -2 2 | 2.772 | 24 |
| 0 3 1 | 2.521 | 51 |
| 0 2 -5 | 2.046 | 33 |
| 4 -1 0 | 1.812 | 47 |
| 2 1 -6 | 1.581 | 25 |

Crystal structure
Unit cell a=7.2488 b=8.7544 c=10.5572 alpha=103.90 beta=90.17 gamma=101.80
Space group P-1 (No. 2)
One atom of each set of equivalent atoms:
K: 0.2476 0.4994 0.0937 x2
V: 0.0774 0.8171 0.3966 x2
V: 0.1061 0.9188 0.0808 x2
V: 0.1724 0.1861 0.3619 x2
V: 0.3239 0.7972 0.6355 x2
V: 0.3931 0.0707 0.9104 x2
V: 0.4167 0.1747 0.6023 x2
O: 0.0372 0.6442 0.2904 x2
O: 0.0548 0.7670 0.5719 x2
O: 0.0581 0.7219 0.0362 x2
O: 0.1210 0.9767 0.2778 x2
O: 0.1326 0.0056 0.9222 x2
O: 0.1622 0.1194 0.5521 x2
O: 0.1970 0.2792 0.2439 x2
O: 0.3061 0.7129 0.7578 x2
O: 0.3495 0.8666 0.4510 x2
O: 0.3802 0.9985 0.0781 x2
O: 0.3849 0.0309 0.7256 x2
O: 0.4232 0.2368 0.4309 x2
O: 0.4426 0.2668 0.9571 x2
O: 0.4596 0.3483 0.7070 x2

---

2.
K4MgV6O16: calculated XRD peak list (Cu Ka), based on a PBE+U-relaxed structure.

The 10 most intense peaks (2θ from 15° to 90°), in order of rising 2θ:
| (hkl) | d_spacing | Rel. int. |
| --- | --- | --- |
| 1 0 0 | 5.473 | 100 |
| 0 2 1 | 4.122 | 44 |
| 1 1 2 | 3.416 | 54 |
| 1 2 -1 | 3.303 | 68 |
| 1 1 -2 | 3.246 | 44 |
| -1 1 2 | 3.226 | 54 |
| 1 -1 2 | 3.157 | 59 |
| 1 -2 1 | 3.069 | 49 |
| 0 3 1 | 2.889 | 41 |
| 2 0 0 | 2.736 | 68 |

Crystal structure
Unit cell a=5.4998 b=8.9972 c=9.1224 alpha=86.00 beta=88.72 gamma=84.42
Space group P1 (No. 1)
One atom of each set of equivalent atoms:
K: 0.0000 0.0000 0.0000 x1
K: 0.0115 0.5357 0.2280 x1
K: 0.0444 0.6963 0.6678 x1
K: 0.9476 0.0626 0.4254 x1
Mg: 0.9913 0.2939 0.6760 x1
V: 0.4310 0.1798 0.2018 x1
V: 0.4423 0.3217 0.8461 x1
V: 0.4619 0.9684 0.7030 x1
V: 0.4629 0.4226 0.4885 x1
V: 0.4800 0.8008 0.3457 x1
V: 0.5215 0.6848 0.9769 x1
O: 0.2712 0.4186 0.6813 x1
O: 0.2918 0.1401 0.7424 x1
O: 0.3030 0.2404 0.0270 x1
O: 0.3309 0.2995 0.3439 x1
O: 0.3415 0.9987 0.2497 x1
O: 0.3624 0.6294 0.4377 x1
O: 0.3776 0.8320 0.8468 x1
O: 0.3787 0.9058 0.5386 x1
O: 0.4172 0.7188 0.1534 x1
O: 0.4331 0.5149 0.9300 x1
O: 0.7343 0.1713 0.1870 x1
O: 0.7490 0.2733 0.8367 x1
O: 0.7644 0.9799 0.7021 x1
O: 0.7849 0.7990 0.3493 x1
O: 0.7891 0.3647 0.5111 x1
O: 0.8245 0.6880 0.9651 x1

---

3.
HoCrTeO6: calculated XRD peak list (Cu Ka), based on a PBE+U-relaxed structure.

The 10 most intense peaks (2θ from 15° to 90°), in order of rising 2θ:
| (hkl) | d_spacing | Rel. int. |
| --- | --- | --- |
| 1 0 1 | 4.084 | 10 |
| 1 0 2 | 3.303 | 100 |
| 1 1 0 | 2.598 | 35 |
| 2 0 2 | 2.042 | 25 |
| 2 -1 4 | 1.776 | 38 |
| 3 -1 2 | 1.605 | 24 |
| 1 0 6 | 1.526 | 10 |
| 3 0 0 | 1.500 | 13 |
| 3 1 2 | 1.209 | 9 |
| 2 1 6 | 1.174 | 9 |

Crystal structure
Unit cell a=5.1958 b=5.1958 c=9.7306 alpha=90.00 beta=90.00 gamma=120.00
Space group P-31c (No. 163)
One atom of each set of equivalent atoms:
Ho: 0.0000 0.0000 0.0000 x2
Cr: 0.3333 0.6667 0.2500 x2
Te: 0.3333 0.6667 0.7500 x2
O: 0.0100 0.3634 0.8612 x12

---

4.
CsCrAs2O7: calculated XRD peak list (Cu Ka), based on a PBE+U-relaxed structure.

The 10 most intense peaks (2θ from 15° to 90°), in order of rising 2θ:
| (hkl) | d_spacing | Rel. int. |
| --- | --- | --- |
| 1 0 -2 | 4.277 | 16 |
| 0 1 2 | 3.951 | 15 |
| 1 2 1 | 3.626 | 24 |
| 2 0 -2 | 3.379 | 15 |
| 1 2 -2 | 3.293 | 33 |
| 1 1 2 | 3.209 | 91 |
| 0 3 1 | 3.191 | 20 |
| 2 2 -1 | 3.149 | 100 |
| 1 1 -3 | 2.838 | 17 |
| 3 5 -1 | 1.639 | 16 |

Crystal structure
Unit cell a=8.0999 b=10.3180 c=8.8956 alpha=90.00 beta=106.03 gamma=90.00
Space group P2_1/c (No. 14)
One atom of each set of equivalent atoms:
Cs: 0.1808 0.1954 0.0437 x4
Cr: 0.2411 0.6015 0.2643 x4
As: 0.1339 0.5916 0.8401 x4
As: 0.4283 0.6303 0.6842 x4
O: 0.0201 0.5057 0.2749 x4
O: 0.0937 0.7424 0.7581 x4
O: 0.1531 0.5807 0.0322 x4
O: 0.2974 0.6030 0.5019 x4
O: 0.3332 0.5350 0.8097 x4
O: 0.3673 0.0733 0.7777 x4
O: 0.4414 0.7129 0.2514 x4

---

5.
Fe3Ge2O8: calculated XRD peak list (Cu Ka), based on a PBE+U-relaxed structure.

The 10 most intense peaks (2θ from 15° to 90°), in order of rising 2θ:
| (hkl) | d_spacing | Rel. int. |
| --- | --- | --- |
| 2 0 0 | 3.820 | 29 |
| 2 1 -2 | 3.489 | 35 |
| 0 2 2 | 2.959 | 48 |
| 1 1 -3 | 2.903 | 100 |
| 3 0 -2 | 2.836 | 41 |
| 3 1 -1 | 2.687 | 51 |
| 1 3 0 | 2.649 | 69 |
| 3 1 -3 | 2.442 | 36 |
| 4 4 -2 | 1.511 | 36 |
| 0 4 4 | 1.480 | 36 |

Crystal structure
Unit cell a=8.6272 b=8.4716 c=9.3410 alpha=90.00 beta=117.67 gamma=90.00
Space group P2_1/c (No. 14)
One atom of each set of equivalent atoms:
Fe: 0.0718 0.1407 0.1099 x4
Fe: 0.1949 0.6149 0.8729 x4
Fe: 0.3426 0.6166 0.6369 x4
Ge: 0.2200 0.5197 0.2334 x4
Ge: 0.3707 0.2483 0.4883 x4
O: 0.0519 0.1219 0.6354 x4
O: 0.0870 0.5972 0.6271 x4
O: 0.1729 0.6396 0.3682 x4
O: 0.2031 0.1193 0.3601 x4
O: 0.2928 0.6271 0.1153 x4
O: 0.2970 0.1313 0.0985 x4
O: 0.4084 0.1087 0.8602 x4
O: 0.4340 0.6509 0.8851 x4

---

6.
Li9Mn2Co5O16: calculated XRD peak list (Cu Ka), based on a PBE+U-relaxed structure.

The 10 most intense peaks (2θ from 15° to 90°), in order of rising 2θ:
| (hkl) | d_spacing | Rel. int. |
| --- | --- | --- |
| 2 0 0 | 4.849 | 100 |
| 0 0 4 | 2.516 | 15 |
| 1 1 -2 | 2.483 | 26 |
| 2 0 4 | 2.093 | 27 |
| 3 1 -2 | 2.070 | 54 |
| 3 1 2 | 1.907 | 9 |
| 5 1 -2 | 1.602 | 10 |
| 5 1 2 | 1.477 | 21 |
| 1 1 -6 | 1.467 | 14 |
| 0 2 0 | 1.449 | 8 |

Crystal structure
Unit cell a=9.8391 b=2.8984 c=10.2099 alpha=90.00 beta=99.72 gamma=90.00
Space group Pm (No. 6)
One atom of each set of equivalent atoms:
Li: 0.0000 0.0000 0.0000 x1
Li: 0.0000 0.0000 0.4965 x1
Li: 0.0102 0.5000 0.2539 x1
Li: 0.2359 0.0000 0.3731 x1
Li: 0.4700 0.5000 0.4866 x1
Li: 0.4791 0.0000 0.2450 x1
Li: 0.4851 0.0000 0.7471 x1
Li: 0.4848 0.5000 0.9934 x1
Li: 0.9893 0.5000 0.7535 x1
Mn: 0.2347 0.5000 0.6146 x1
Mn: 0.7432 0.5000 0.3744 x1
Co: 0.2389 0.0000 0.8777 x1
Co: 0.2481 0.5000 0.1426 x1
Co: 0.7348 0.0000 0.6259 x1
Co: 0.7346 0.5000 0.8698 x1
Co: 0.7440 0.0000 0.1212 x1
O: 0.1224 0.0000 0.1792 x1
O: 0.1233 0.5000 0.4505 x1
O: 0.1240 0.5000 0.9325 x1
O: 0.1270 0.0000 0.6812 x1
O: 0.3471 0.5000 0.8039 x1
O: 0.3496 0.0000 0.5682 x1
O: 0.3561 0.0000 0.0589 x1
O: 0.3648 0.5000 0.3002 x1
O: 0.6173 0.5000 0.6855 x1
O: 0.6227 0.0000 0.9336 x1
O: 0.6290 0.0000 0.4251 x1
O: 0.6416 0.5000 0.1898 x1
O: 0.8470 0.5000 0.5512 x1
O: 0.8497 0.5000 0.0633 x1
O: 0.8538 0.0000 0.3219 x1
O: 0.8538 0.0000 0.8083 x1

---

7.
RbMgCr3O8: calculated XRD peak list (Cu Ka), based on a PBE+U-relaxed structure.

The 10 most intense peaks (2θ from 15° to 90°), in order of rising 2θ:
| (hkl) | d_spacing | Rel. int. |
| --- | --- | --- |
| 2 0 0 | 4.629 | 49 |
| 1 1 -1 | 4.355 | 68 |
| 1 1 1 | 3.999 | 100 |
| 2 0 1 | 3.783 | 30 |
| 1 1 -2 | 3.372 | 90 |
| 1 1 2 | 3.049 | 41 |
| 0 0 3 | 2.884 | 33 |
| 0 2 0 | 2.770 | 54 |
| 3 1 -1 | 2.709 | 56 |
| 1 1 -3 | 2.582 | 32 |

Crystal structure
Unit cell a=9.4409 b=5.5402 c=8.8157 alpha=90.00 beta=101.32 gamma=90.00
Space group Cm (No. 8)
One atom of each set of equivalent atoms:
Rb: 0.0000 0.0000 0.0000 x2
Mg: 0.2308 0.0000 0.7302 x2
Cr: 0.0931 0.0000 0.4462 x2
Cr: 0.2110 0.5000 0.2585 x2
Cr: 0.4856 0.0000 0.6417 x2
O: 0.0868 0.2312 0.6252 x4
O: 0.1151 0.2531 0.2884 x4
O: 0.2270 0.5000 0.0765 x2
O: 0.3048 0.0000 0.5264 x2
O: 0.3745 0.5000 0.3710 x2
O: 0.4308 0.0000 0.8284 x2

---

8.
KV2SeO7: calculated XRD peak list (Cu Ka), based on a PBE+U-relaxed structure.

The 10 most intense peaks (2θ from 15° to 90°), in order of rising 2θ:
| (hkl) | d_spacing | Rel. int. |
| --- | --- | --- |
| 2 0 1 | 5.670 | 34 |
| 4 0 0 | 4.645 | 67 |
| 2 1 1 | 3.958 | 25 |
| 3 1 1 | 3.574 | 47 |
| 4 1 0 | 3.556 | 85 |
| 2 0 2 | 3.340 | 30 |
| 4 1 1 | 3.185 | 25 |
| 2 1 2 | 2.858 | 100 |
| 0 2 0 | 2.764 | 45 |
| 4 1 3 | 1.981 | 32 |

Crystal structure
Unit cell a=18.5784 b=5.5274 c=7.1581 alpha=90.00 beta=90.00 gamma=90.00
Space group Pnma (No. 62)
One atom of each set of equivalent atoms:
K: 0.0358 0.2500 0.2395 x4
V: 0.1198 0.2500 0.7217 x4
V: 0.1869 0.7500 0.4329 x4
Se: 0.1500 0.7500 0.9722 x4
O: 0.0379 0.2500 0.6301 x4
O: 0.0949 0.5110 0.9200 x8
O: 0.1312 0.7500 0.2167 x4
O: 0.1653 0.0032 0.5595 x8
O: 0.2253 0.2500 0.8715 x4